Entry 1:
This entry pairs a crystal structure of Sm6SiTc2Br3 with its computed X-ray diffraction stick pattern. Radiation: Cu Kα X-rays. Structure: DFT lattice parameters and positions (PBE).
Lines closer than 0.1° are merged.

Structure:
Lattice parameters (Å, degrees): 7.016 7.016 8.146 98.44 98.44 118.72
Sites, in units of the cell vectors:
Sm  0.062  0.418  0.185
Sm  0.249  0.249  0.770
Sm  0.418  0.062  0.185
Sm  0.582  0.938  0.815
Sm  0.751  0.751  0.230
Sm  0.938  0.582  0.815
Si  0.000  0.000  0.000
Tc  0.365  0.635  0.000
Tc  0.635  0.365  0.000
Br  0.172  0.828  0.500
Br  0.500  0.500  0.500
Br  0.828  0.172  0.500

Peak list (12 most intense, 2θ from 10° to 90°, in order of rising 2θ)
11.3 deg, I 20; 26.6 deg, I 13; 29.3 deg, I 49; 29.7 deg, I 100; 31.9 deg, I 14; 34.5 deg, I 10; 39.7 deg, I 20; 40.2 deg, I 27; 44.2 deg, I 39; 45.1 deg, I 16; 53.5 deg, I 11; 54.7 deg, I 13


Entry 2:
This entry pairs a crystal structure of SrSiBr4 with its computed X-ray diffraction stick pattern. Radiation: Cu Kα X-rays. Structure: DFT lattice parameters and positions (PBE).
Lines closer than 0.1° are merged.

Structure:
Lattice parameters (Å, degrees): 6.416 6.416 6.416 60.00 60.00 60.00
Sites, in units of the cell vectors:
Sr  0.000  0.000  0.000
Si  0.250  0.250  0.250
Br  0.124  0.625  0.625
Br  0.625  0.124  0.625
Br  0.625  0.625  0.124
Br  0.625  0.625  0.625

Peak list (12 most intense, 2θ from 10° to 90°, in order of rising 2θ)
16.9 deg, I 23; 27.8 deg, I 17; 32.7 deg, I 100; 34.2 deg, I 52; 39.7 deg, I 10; 43.5 deg, I 6; 49.2 deg, I 7; 52.4 deg, I 34; 57.5 deg, I 30; 67.7 deg, I 12; 68.6 deg, I 20; 81.5 deg, I 21


Entry 3:
This entry pairs a crystal structure of Sr2SiBr with its computed X-ray diffraction stick pattern. Radiation: Cu Kα X-rays. Structure: DFT lattice parameters and positions (PBE).
Lines closer than 0.1° are merged.

Structure:
Lattice parameters (Å, degrees): 4.162 6.389 4.924 90.00 90.00 90.00
Sites, in units of the cell vectors:
Sr  0.000  0.000  0.000
Sr  0.500  0.500  0.499
Si  0.500  0.000  0.500
Br  0.000  0.500  0.999

Peak list (12 most intense, 2θ from 10° to 90°, in order of rising 2θ)
27.9 deg, I 51; 28.1 deg, I 100; 36.5 deg, I 25; 40.0 deg, I 76; 43.5 deg, I 15; 46.6 deg, I 24; 52.5 deg, I 17; 58.0 deg, I 13; 65.4 deg, I 17; 65.6 deg, I 18; 68.1 deg, I 15; 77.5 deg, I 13


Entry 4:
This entry pairs a crystal structure of SiTcBr2 with its computed X-ray diffraction stick pattern. Radiation: Cu Kα X-rays. Structure: DFT lattice parameters and positions (PBE).
Lines closer than 0.1° are merged.

Structure:
Lattice parameters (Å, degrees): 3.253 3.454 9.338 97.25 90.41 118.09
Sites, in units of the cell vectors:
Si  0.000  0.000  0.000
Tc  0.278  0.562  0.840
Br  0.064  0.116  0.239
Br  0.828  0.671  0.636

Peak list (12 most intense, 2θ from 10° to 90°, in order of rising 2θ)
19.2 deg, I 73; 29.0 deg, I 46; 29.8 deg, I 93; 31.2 deg, I 77; 32.6 deg, I 100; 33.5 deg, I 43; 35.6 deg, I 77; 35.8 deg, I 77; 44.6 deg, I 51; 44.9 deg, I 50; 45.9 deg, I 50; 53.3 deg, I 63